Simulated powder diffractogram
Compound: Ta2Ni3Pt2
Radiation: CuKα
Structure: DFT lattice parameters and positions (GGA-PBE)
Lines closer than 0.1° are merged.

Structure:
a b c (Å): 8.772 3.671 6.203
angles (deg): 90.00 96.30 90.00
Fractional coordinates of all 14 atoms:
Ta (0.080, 0.000, 0.238)
Ta (0.420, 0.500, 0.762)
Ta (0.580, 0.500, 0.238)
Ta (0.920, 0.000, 0.762)
Ni (0.000, 0.500, 0.500)
Ni (0.211, 0.000, 0.622)
Ni (0.289, 0.500, 0.378)
Ni (0.500, 0.000, 0.500)
Ni (0.711, 0.500, 0.622)
Ni (0.789, 0.000, 0.378)
Pt (0.138, 0.500, 0.910)
Pt (0.362, 0.000, 0.090)
Pt (0.638, 0.000, 0.910)
Pt (0.862, 0.500, 0.090)

Top 10 peaks for 10° ≤ 2θ ≤ 90°, sorted by position:
14.4°, d 6.165, I = 25.7, hkl 0 0 1
30.7°, d 2.914, I = 36.3, hkl 1 1 1
33.7°, d 2.658, I = 14.8, hkl 2 0 -2
40.4°, d 2.232, I = 95.6, hkl 1 1 2
41.0°, d 2.200, I = 100.0, hkl 3 1 -1
45.6°, d 1.988, I = 34.0, hkl 4 0 1
46.8°, d 1.943, I = 31.2, hkl 2 0 -3
49.7°, d 1.836, I = 28.8, hkl 0 2 0
69.7°, d 1.349, I = 26.1, hkl 4 2 1
70.6°, d 1.334, I = 18.1, hkl 2 2 -3